Diffraction record for Li3Fe4B4O12. The powder X-ray diffraction pattern is theoretical, not measured: it uses a cell relaxed with PBE+U and copper Kα.
Intensities are scaled so that the largest is 100.

The 10 most intense peaks (10 to 90 degrees two-theta), sorted by position:
2θ = 19.51°, intensity 74; 2θ = 21.35°, intensity 52; 2θ = 21.57°, intensity 39; 2θ = 21.63°, intensity 40; 2θ = 26.06°, intensity 60; 2θ = 34.12°, intensity 32; 2θ = 34.23°, intensity 33; 2θ = 35.06°, intensity 100; 2θ = 38.41°, intensity 33; 2θ = 40.61°, intensity 46

Crystal structure
a = 5.2401 Å, b = 9.0696 Å, c = 11.4008 Å
α = 112.41°, β = 102.53°, γ = 90.47°
Element x y z (fractional)
Li: 0.0000 0.0000 0.0000
Li: 0.0404 0.0374 0.7492
Li: 0.2254 0.2683 0.5055
Li: 0.5032 0.5051 0.0015
Li: 0.7126 0.7610 0.4999
Li: 0.7626 0.7988 0.2399
Fe: 0.0045 0.6807 0.7189
Fe: 0.2163 0.9215 0.4718
Fe: 0.2509 0.6097 0.2240
Fe: 0.4861 0.8212 0.9663
Fe: 0.5166 0.2128 0.7245
Fe: 0.6966 0.4063 0.4689
Fe: 0.7587 0.1233 0.2195
Fe: 0.9839 0.3193 0.9724
B: 0.0090 0.3562 0.7142
B: 0.2080 0.5754 0.4716
B: 0.2519 0.9324 0.2066
B: 0.4689 0.1547 0.9628
B: 0.4994 0.8621 0.7146
B: 0.7155 0.0717 0.4606
B: 0.7498 0.4524 0.2202
B: 0.9766 0.6545 0.9726
O: 0.0740 0.7525 0.9180
O: 0.0909 0.0381 0.1823
O: 0.1473 0.5564 0.0160
O: 0.1578 0.8254 0.2562
O: 0.1983 0.1325 0.9463
O: 0.2552 0.3517 0.6953
O: 0.3115 0.6812 0.4245
O: 0.3287 0.4453 0.4721
O: 0.3631 0.9762 0.6808
O: 0.3736 0.7647 0.7580
O: 0.4794 0.1031 0.4977
O: 0.4988 0.9186 0.1801
O: 0.5760 0.2809 0.9408
O: 0.6091 0.5800 0.2108
O: 0.6306 0.0504 0.9976
O: 0.6581 0.3475 0.2638
O: 0.7260 0.6586 0.9873
O: 0.7594 0.8433 0.7019
O: 0.8218 0.9279 0.4504
O: 0.8466 0.1844 0.4327
O: 0.8530 0.4694 0.6853
O: 0.9095 0.2502 0.7597
O: 0.9764 0.6108 0.5175
O: 0.9877 0.4384 0.1820